Entry 1:
Diffraction record for HoSi4Os4. The powder diffraction line list is simulated, not measured: it uses a structure optimized by DFT (GGA-PBE) and Cu Kα (λ = 1.5418 Å).
Lines closer than 0.1° are merged.

Cell and atoms:
a b c (Å): 5.955 5.955 8.013
angles (deg): 90.00 90.00 90.00
Space group P4_2/nmc (No. 137, origin choice 2)
Symmetry-distinct sites (fractional):
Ho (0.250, 0.750, 0.250) x2
Si (0.053, 0.250, 0.071) x8
Os (0.003, 0.250, 0.372) x8

Top 10 peaks for 15° ≤ 2θ ≤ 90°, low angle first:
2θ/deg, d_spacing, I/Imax, h k l
26.8, 3.324, 49, 1 0 2
32.1, 2.791, 55, 2 0 1
35.5, 2.527, 100, 2 1 1
36.9, 2.437, 42, 1 0 3
40.7, 2.218, 38, 2 1 2
43.0, 2.106, 31, 2 2 0
45.6, 1.988, 39, 2 0 3
56.9, 1.618, 21, 3 2 1
62.4, 1.489, 22, 4 0 0
64.2, 1.451, 36, 2 2 4


Entry 2:
Diffraction record for HoSi2Os4. The powder diffraction line list is simulated, not measured: it uses a structure optimized by DFT (GGA-PBE) and Cu Kα (λ = 1.5418 Å).
Lines closer than 0.1° are merged.

Cell and atoms:
a b c (Å): 3.983 14.042 3.966
angles (deg): 90.00 90.00 90.00
Space group Cmmm (No. 65)
Symmetry-distinct sites (fractional):
Ho (0.000, 0.000, 0.000) x2
Si (0.000, 0.416, 0.500) x4
Os (0.000, 0.186, 0.500) x4
Os (0.000, 0.311, 0.000) x4

Top 10 peaks for 15° ≤ 2θ ≤ 90°, low angle first:
2θ/deg, d_spacing, I/Imax, h k l
37.3, 2.410, 100, 1 3 1
38.5, 2.340, 13, 0 6 0
45.5, 1.992, 18, 2 0 0
45.7, 1.985, 44, 0 0 2
61.1, 1.517, 7, 2 6 0
61.3, 1.513, 7, 0 6 2
66.6, 1.405, 15, 2 0 2
78.7, 1.216, 12, 3 3 1
79.0, 1.212, 12, 1 3 3
84.6, 1.146, 8, 0 10 2


Entry 3:
Diffraction record for Ho3Si3Os. The powder diffraction line list is simulated, not measured: it uses a structure optimized by DFT (GGA-PBE) and Cu Kα (λ = 1.5418 Å).
Lines closer than 0.1° are merged.

Cell and atoms:
a b c (Å): 10.566 4.212 13.502
angles (deg): 90.00 110.97 90.00
Space group C2/m (No. 12)
Symmetry-distinct sites (fractional):
Ho (0.018, 0.000, 0.374) x4
Ho (0.102, 0.000, 0.920) x4
Ho (0.245, 0.000, 0.229) x4
Si (0.051, 0.500, 0.238) x4
Si (0.112, 0.500, 0.074) x4
Si (0.135, 0.500, 0.542) x4
Os (0.247, 0.500, 0.413) x4

Top 10 peaks for 15° ≤ 2θ ≤ 90°, low angle first:
2θ/deg, d_spacing, I/Imax, h k l
23.0, 3.873, 37, 1 1 0
29.1, 3.071, 32, 1 1 -3
33.3, 2.693, 28, 3 1 -1
33.5, 2.678, 44, 3 1 -2
33.6, 2.667, 100, 1 1 3
34.0, 2.635, 38, 4 0 -2
35.2, 2.551, 28, 3 1 -3
38.2, 2.354, 31, 3 1 -4
41.2, 2.190, 34, 3 1 2
43.0, 2.104, 61, 0 2 0


Entry 4:
Diffraction record for HoTa4Os5. The powder diffraction line list is simulated, not measured: it uses a structure optimized by DFT (GGA-PBE) and Cu Kα (λ = 1.5418 Å).
Lines closer than 0.1° are merged.

Cell and atoms:
a b c (Å): 3.141 3.141 17.260
angles (deg): 90.00 90.00 90.00
Space group P4/mmm (No. 123)
Symmetry-distinct sites (fractional):
Ho (0.000, 0.000, 0.000) x1
Ta (0.000, 0.000, 0.209) x2
Ta (0.000, 0.000, 0.404) x2
Os (0.500, 0.500, 0.126) x2
Os (0.500, 0.500, 0.311) x2
Os (0.500, 0.500, 0.500) x1

Top 10 peaks for 15° ≤ 2θ ≤ 90°, low angle first:
2θ/deg, d_spacing, I/Imax, h k l
38.8, 2.323, 100, 1 0 5
40.6, 2.221, 53, 1 1 0
42.6, 2.121, 11, 1 0 6
53.1, 1.726, 6, 0 0 10
58.8, 1.570, 21, 2 0 0
68.9, 1.363, 11, 1 1 10
72.7, 1.301, 32, 2 1 5
74.0, 1.281, 7, 1 1 11
83.2, 1.162, 7, 2 0 10
88.0, 1.110, 10, 2 2 0


Entry 5:
Diffraction record for Tb4HoOs2. The powder diffraction line list is simulated, not measured: it uses a structure optimized by DFT (GGA-PBE) and Cu Kα (λ = 1.5418 Å).
Lines closer than 0.1° are merged.

Cell and atoms:
a b c (Å): 7.852 6.311 7.899
angles (deg): 90.00 112.26 90.00
Space group P2_1/m (No. 11)
Symmetry-distinct sites (fractional):
Tb (0.122, 0.250, 0.479) x2
Tb (0.176, 0.750, 0.253) x2
Tb (0.261, 0.502, 0.918) x4
Ho (0.470, 0.250, 0.340) x2
Os (0.088, 0.250, 0.123) x2
Os (0.476, 0.250, 0.753) x2

Top 10 peaks for 15° ≤ 2θ ≤ 90°, low angle first:
2θ/deg, d_spacing, I/Imax, h k l
28.3, 3.155, 48, 0 2 0
30.8, 2.900, 85, 2 1 -2
31.3, 2.855, 75, 2 0 1
31.5, 2.842, 55, 1 2 -1
34.1, 2.630, 44, 1 0 -3
34.4, 2.604, 48, 1 1 2
35.9, 2.502, 36, 3 0 -2
36.6, 2.455, 100, 1 2 -2
37.7, 2.384, 87, 2 2 0
39.7, 2.273, 45, 0 1 3


Entry 6:
Diffraction record for Ho8TcOs2. The powder diffraction line list is simulated, not measured: it uses a structure optimized by DFT (GGA-PBE) and Cu Kα (λ = 1.5418 Å).
Lines closer than 0.1° are merged.

Cell and atoms:
a b c (Å): 8.400 12.494 5.691
angles (deg): 90.00 108.10 90.00
Space group Cm (No. 8)
Symmetry-distinct sites (fractional):
Ho (0.000, 0.000, 0.000) x2
Ho (0.057, 0.372, 0.788) x4
Ho (0.159, 0.129, 0.601) x4
Ho (0.218, 0.500, 0.378) x2
Ho (0.363, 0.219, 0.189) x4
Tc (0.358, 0.000, 0.101) x2
Os (0.355, 0.313, 0.687) x4

Top 10 peaks for 15° ≤ 2θ ≤ 90°, low angle first:
2θ/deg, d_spacing, I/Imax, h k l
26.5, 3.364, 35, 2 2 0
31.2, 2.864, 72, 1 3 1
31.7, 2.821, 41, 2 0 1
32.3, 2.773, 46, 1 1 -2
33.1, 2.705, 100, 0 4 1
33.4, 2.686, 77, 3 1 -1
36.2, 2.482, 37, 0 2 2
36.5, 2.460, 37, 2 4 0
39.9, 2.261, 66, 1 5 -1
40.2, 2.244, 56, 3 3 0


Entry 7:
Diffraction record for Ho4TeOs. The powder diffraction line list is simulated, not measured: it uses a structure optimized by DFT (GGA-PBE) and Cu Kα (λ = 1.5418 Å).
Lines closer than 0.1° are merged.

Cell and atoms:
a b c (Å): 7.994 4.065 19.408
angles (deg): 90.00 90.00 90.00
Space group Pnma (No. 62)
Symmetry-distinct sites (fractional):
Ho (0.000, 0.250, 0.067) x4
Ho (0.052, 0.250, 0.788) x4
Ho (0.135, 0.250, 0.357) x4
Ho (0.140, 0.250, 0.544) x4
Te (0.248, 0.750, 0.693) x4
Os (0.247, 0.750, 0.449) x4

Top 10 peaks for 15° ≤ 2θ ≤ 90°, low angle first:
2θ/deg, d_spacing, I/Imax, h k l
30.8, 2.903, 100, 1 1 4
31.4, 2.850, 43, 2 1 0
31.9, 2.807, 50, 0 1 5
32.1, 2.785, 29, 2 0 5
34.0, 2.640, 33, 3 0 1
34.2, 2.620, 29, 1 0 7
34.4, 2.608, 92, 2 1 3
38.5, 2.336, 40, 3 0 4
39.2, 2.297, 35, 2 1 5
44.6, 2.032, 45, 0 2 0


Entry 8:
Diffraction record for Ho7Zn2Os2. The powder diffraction line list is simulated, not measured: it uses a structure optimized by DFT (GGA-PBE) and Cu Kα (λ = 1.5418 Å).
Lines closer than 0.1° are merged.

Cell and atoms:
a b c (Å): 7.757 10.708 7.065
angles (deg): 90.00 90.00 90.00
Space group Cmmm (No. 65)
Symmetry-distinct sites (fractional):
Ho (0.000, 0.000, 0.000) x2
Ho (0.000, 0.500, 0.248) x4
Ho (0.250, 0.250, 0.260) x8
Zn (0.168, 0.000, 0.500) x4
Os (0.000, 0.295, 0.000) x4

Top 10 peaks for 15° ≤ 2θ ≤ 90°, low angle first:
2θ/deg, d_spacing, I/Imax, h k l
26.2, 3.400, 40, 2 0 1
28.4, 3.141, 44, 2 2 0
29.0, 3.079, 30, 1 1 2
30.3, 2.947, 24, 1 3 1
33.5, 2.677, 52, 0 4 0
34.3, 2.612, 29, 2 0 2
37.7, 2.389, 52, 1 3 2
38.3, 2.347, 100, 2 2 2
51.8, 1.766, 21, 0 0 4
63.1, 1.474, 28, 0 4 4


Entry 9:
Diffraction record for Ho3Zn2Os. The powder diffraction line list is simulated, not measured: it uses a structure optimized by DFT (GGA-PBE) and Cu Kα (λ = 1.5418 Å).
Lines closer than 0.1° are merged.

Cell and atoms:
a b c (Å): 4.910 7.124 7.752
angles (deg): 90.00 108.39 90.00
Space group P2/m (No. 10)
Symmetry-distinct sites (fractional):
Ho (0.000, 0.238, 0.000) x2
Ho (0.329, 0.233, 0.659) x4
Zn (0.167, 0.500, 0.333) x2
Zn (0.500, 0.000, 0.000) x1
Zn (0.500, 0.500, 0.000) x1
Os (0.164, 0.000, 0.327) x2

Top 10 peaks for 15° ≤ 2θ ≤ 90°, low angle first:
2θ/deg, d_spacing, I/Imax, h k l
36.1, 2.485, 100, 1 2 1
36.6, 2.454, 49, 2 0 -1
51.3, 1.781, 9, 0 4 0
52.8, 1.735, 17, 2 0 2
64.7, 1.441, 17, 2 4 -1
65.6, 1.424, 10, 3 2 0
65.6, 1.422, 26, 3 2 -3
76.7, 1.243, 10, 2 4 2
86.7, 1.123, 7, 1 6 1
88.9, 1.101, 5, 3 2 3


Entry 10:
Diffraction record for HoZr2Os. The powder diffraction line list is simulated, not measured: it uses a structure optimized by DFT (GGA-PBE) and Cu Kα (λ = 1.5418 Å).
Lines closer than 0.1° are merged.

Cell and atoms:
a b c (Å): 6.885 6.885 6.885
angles (deg): 90.00 90.00 90.00
Space group Fm-3m (No. 225)
Symmetry-distinct sites (fractional):
Ho (0.000, 0.000, 0.000) x4
Zr (0.250, 0.250, 0.250) x8
Os (0.000, 0.000, 0.500) x4

Top 8 peaks for 15° ≤ 2θ ≤ 90°, low angle first:
2θ/deg, d_spacing, I/Imax, h k l
25.9, 3.442, 11, 2 0 0
36.9, 2.434, 100, 2 2 0
45.6, 1.987, 4, 2 2 2
53.2, 1.721, 17, 4 0 0
60.1, 1.539, 5, 4 2 0
66.5, 1.405, 35, 4 2 2
78.6, 1.217, 11, 4 4 0
84.4, 1.147, 3, 6 0 0


Entry 11:
Diffraction record for PrHoPa2P4. The powder diffraction line list is simulated, not measured: it uses a structure optimized by DFT (GGA-PBE) and Cu Kα (λ = 1.5418 Å).
Lines closer than 0.1° are merged.

Cell and atoms:
a b c (Å): 6.972 4.023 6.975
angles (deg): 90.00 109.44 90.00
Space group P2/m (No. 10)
Symmetry-distinct sites (fractional):
Pr (0.000, 0.000, 0.000) x1
Ho (0.500, 0.500, 0.000) x1
Pa (0.000, 0.500, 0.500) x1
Pa (0.500, 0.000, 0.500) x1
P (0.253, 0.000, 0.741) x2
P (0.261, 0.500, 0.264) x2

Top 10 peaks for 15° ≤ 2θ ≤ 90°, low angle first:
2θ/deg, d_spacing, I/Imax, h k l
27.1, 3.287, 99, 0 0 2
31.4, 2.846, 100, 1 1 1
45.0, 2.013, 74, 0 2 0
53.4, 1.716, 49, 1 1 3
56.0, 1.643, 26, 2 2 -2
65.6, 1.423, 12, 2 2 2
72.4, 1.306, 20, 2 0 4
74.5, 1.273, 34, 1 3 1
83.1, 1.162, 26, 3 3 -1
89.4, 1.096, 14, 0 0 6


Entry 12:
Diffraction record for YHoPa2P4. The powder diffraction line list is simulated, not measured: it uses a structure optimized by DFT (GGA-PBE) and Cu Kα (λ = 1.5418 Å).
Lines closer than 0.1° are merged.

Cell and atoms:
a b c (Å): 6.884 3.980 6.892
angles (deg): 90.00 109.50 90.00
Space group P2/m (No. 10)
Symmetry-distinct sites (fractional):
Y (0.000, 0.000, 0.000) x1
Ho (0.000, 0.500, 0.500) x1
Pa (0.500, 0.000, 0.500) x1
Pa (0.500, 0.500, 0.000) x1
P (0.253, 0.000, 0.750) x2
P (0.254, 0.500, 0.252) x2

Top 10 peaks for 15° ≤ 2θ ≤ 90°, low angle first:
2θ/deg, d_spacing, I/Imax, h k l
26.3, 3.394, 10, 0 1 1
27.5, 3.248, 94, 2 0 0
31.8, 2.813, 100, 1 1 1
45.6, 1.989, 74, 2 0 2
54.1, 1.696, 46, 3 1 1
56.7, 1.624, 26, 4 0 0
66.5, 1.406, 12, 2 2 2
73.3, 1.291, 14, 2 0 4
75.6, 1.258, 33, 4 2 0
84.3, 1.149, 19, 1 1 5


Entry 13:
Diffraction record for Ho3PPbS. The powder diffraction line list is simulated, not measured: it uses a structure optimized by DFT (GGA-PBE) and Cu Kα (λ = 1.5418 Å).
Lines closer than 0.1° are merged.

Cell and atoms:
a b c (Å): 7.129 4.036 10.898
angles (deg): 90.00 102.71 90.00
Space group P2_1/m (No. 11)
Symmetry-distinct sites (fractional):
Ho (0.040, 0.250, 0.150) x2
Ho (0.243, 0.250, 0.507) x2
Ho (0.441, 0.750, 0.844) x2
P (0.234, 0.250, 0.946) x2
Pb (0.351, 0.750, 0.307) x2
S (0.125, 0.750, 0.639) x2

Top 10 peaks for 15° ≤ 2θ ≤ 90°, low angle first:
2θ/deg, d_spacing, I/Imax, h k l
25.1, 3.544, 48, 0 0 3
27.8, 3.214, 100, 0 1 2
28.7, 3.109, 37, 2 0 1
29.0, 3.078, 96, 1 1 -2
33.8, 2.655, 58, 2 0 2
34.0, 2.635, 74, 2 1 0
35.4, 2.534, 51, 2 1 -2
37.8, 2.379, 67, 2 0 -4
44.9, 2.018, 47, 0 2 0
45.1, 2.011, 48, 1 1 4